Structure and simulated X-ray diffraction stick pattern of K2HfO3 (a crystal structure in Alexandria, relaxed with GGA-PBE; Cu Kα X-rays).
Kinematic intensities with the Lorentz-polarization factor, no thermal factor.

Principal peaks in the range 2θ from 5° to 70°, by intensity:
| 2θ/deg | d/Å | I/Imax |
| --- | --- | --- |
| 33.7 | 2.659 | 100.0 |
| 14.2 | 6.235 | 61.6 |
| 54.0 | 1.697 | 48.9 |
| 42.3 | 2.139 | 34.9 |
| 22.5 | 3.944 | 31.0 |
| 17.4 | 5.093 | 26.6 |
| 30.4 | 2.940 | 26.5 |
| 28.6 | 3.117 | 24.8 |
| 62.3 | 1.491 | 19.8 |
| 56.2 | 1.638 | 15.1 |

Structural model:
```
data_K2HfO3
_cell_length_a 5.8804
_cell_length_b 5.8804
_cell_length_c 12.4695
_cell_angle_alpha 90.00
_cell_angle_beta 90.00
_cell_angle_gamma 120.00
_space_group_name_H-M_alt 'P 63/m c m'
_space_group_IT_number 193
_space_group_name_Hall '-P 6c 2'
loop_
_atom_site_label
_atom_site_type_symbol
_atom_site_fract_x
_atom_site_fract_y
_atom_site_fract_z
_atom_site_occupancy
K1 K 0.0000 0.0000 0.0000 1
K2 K 0.0000 0.3142 0.2500 1
Hf1 Hf 0.3333 0.6667 0.0000 1
O1 O 0.0000 0.4006 0.5937 1
```


Structure and simulated X-ray diffraction stick pattern of K4Hf5O12 (a crystal structure in Alexandria, relaxed with GGA-PBE; Cu Kα X-rays).
Kinematic intensities with the Lorentz-polarization factor, no thermal factor.

Principal peaks in the range 2θ from 5° to 70°, by intensity:
| 2θ/deg | d/Å | I/Imax |
| --- | --- | --- |
| 30.7 | 2.911 | 100.0 |
| 19.6 | 4.539 | 85.2 |
| 31.2 | 2.863 | 84.9 |
| 44.4 | 2.041 | 49.0 |
| 54.9 | 1.671 | 35.8 |
| 46.8 | 1.943 | 29.8 |
| 54.6 | 1.680 | 19.9 |
| 64.0 | 1.455 | 18.0 |
| 65.2 | 1.431 | 18.0 |
| 48.6 | 1.874 | 15.1 |

Structural model:
```
data_K4Hf5O12
_cell_length_a 5.8211
_cell_length_b 5.8211
_cell_length_c 10.4371
_cell_angle_alpha 90.00
_cell_angle_beta 90.00
_cell_angle_gamma 120.00
_space_group_name_H-M_alt 'P -3 m 1'
_space_group_IT_number 164
_space_group_name_Hall '-P 3 2"'
loop_
_atom_site_label
_atom_site_type_symbol
_atom_site_fract_x
_atom_site_fract_y
_atom_site_fract_z
_atom_site_occupancy
K1 K 0.0000 0.0000 0.1777 1
K2 K 0.3333 0.6667 0.6126 1
Hf1 Hf 0.0000 0.0000 0.5000 1
Hf2 Hf 0.3333 0.6667 0.2836 1
Hf3 Hf 0.3333 0.6667 0.9766 1
O1 O 0.0195 0.5097 0.1222 1
O2 O 0.1652 0.3304 0.3789 1
```


Structure and simulated X-ray diffraction stick pattern of K14Hf2O9 (a crystal structure in Alexandria, relaxed with GGA-PBE; Cu Kα X-rays).
Kinematic intensities with the Lorentz-polarization factor, no thermal factor.

Principal peaks in the range 2θ from 5° to 70°, by intensity:
| 2θ/deg | d/Å | I/Imax |
| --- | --- | --- |
| 14.7 | 6.016 | 100.0 |
| 27.1 | 3.294 | 81.1 |
| 33.2 | 2.696 | 44.8 |
| 36.5 | 2.462 | 40.9 |
| 25.6 | 3.479 | 36.6 |
| 40.7 | 2.215 | 36.3 |
| 28.5 | 3.131 | 29.9 |
| 12.0 | 7.386 | 17.6 |
| 46.0 | 1.972 | 15.7 |
| 51.9 | 1.762 | 15.4 |

Structural model:
```
data_K14Hf2O9
_cell_length_a 8.5291
_cell_length_b 8.5291
_cell_length_c 10.3710
_cell_angle_alpha 90.00
_cell_angle_beta 90.00
_cell_angle_gamma 120.00
_space_group_name_H-M_alt 'P -3'
_space_group_IT_number 147
_space_group_name_Hall '-P 3'
loop_
_atom_site_label
_atom_site_type_symbol
_atom_site_fract_x
_atom_site_fract_y
_atom_site_fract_z
_atom_site_occupancy
K1 K 0.0000 0.0000 0.2434 1
K2 K 0.0557 0.3810 0.5877 1
K3 K 0.0562 0.6802 0.9062 1
Hf1 Hf 0.3333 0.6667 0.2602 1
O1 O 0.0000 0.0000 0.0000 1
O2 O 0.1360 0.4328 0.3266 1
O3 O 0.3333 0.6667 0.0686 1
```


Structure and simulated X-ray diffraction stick pattern of KHfPO5 (a crystal structure in Alexandria, relaxed with GGA-PBE; Cu Kα X-rays).
Kinematic intensities with the Lorentz-polarization factor, no thermal factor.

Principal peaks in the range 2θ from 5° to 70°, by intensity:
| 2θ/deg | d/Å | I/Imax |
| --- | --- | --- |
| 17.0 | 5.227 | 100.0 |
| 25.5 | 3.494 | 81.9 |
| 32.4 | 2.761 | 49.3 |
| 28.1 | 3.176 | 45.3 |
| 32.7 | 2.738 | 38.3 |
| 19.3 | 4.600 | 26.0 |
| 34.9 | 2.574 | 20.9 |
| 40.2 | 2.244 | 19.1 |
| 36.3 | 2.473 | 17.3 |
| 49.3 | 1.848 | 16.3 |

Structural model:
```
data_KHfPO5
_cell_length_a 7.0794
_cell_length_b 9.1993
_cell_length_c 7.5964
_cell_angle_alpha 90.00
_cell_angle_beta 116.20
_cell_angle_gamma 90.00
_space_group_name_H-M_alt 'C 1 2/c 1'
_space_group_IT_number 15
_space_group_name_Hall '-C 2yc'
loop_
_atom_site_label
_atom_site_type_symbol
_atom_site_fract_x
_atom_site_fract_y
_atom_site_fract_z
_atom_site_occupancy
K1 K 0.0000 0.1675 0.2500 1
Hf1 Hf 0.0000 0.5000 0.0000 1
P1 P 0.0000 0.1862 0.7500 1
O1 O 0.0000 0.4365 0.2500 1
O2 O 0.0760 0.2842 0.6254 1
O3 O 0.1830 0.0855 0.8866 1
```


Structure and simulated X-ray diffraction stick pattern of KHfPaO6 (a crystal structure in Alexandria, relaxed with GGA-PBE; Cu Kα X-rays).
Kinematic intensities with the Lorentz-polarization factor, no thermal factor.

Principal peaks in the range 2θ from 5° to 70°, by intensity:
| 2θ/deg | d/Å | I/Imax |
| --- | --- | --- |
| 25.4 | 3.513 | 100.0 |
| 30.4 | 2.937 | 40.5 |
| 17.4 | 5.088 | 34.4 |
| 48.6 | 1.872 | 31.8 |
| 51.1 | 1.788 | 30.9 |
| 40.0 | 2.254 | 30.7 |
| 69.3 | 1.355 | 12.7 |
| 54.1 | 1.696 | 11.1 |
| 60.0 | 1.543 | 9.5 |
| 67.3 | 1.390 | 9.3 |

Structural model:
```
data_KHfPaO6
_cell_length_a 5.8749
_cell_length_b 5.8749
_cell_length_c 4.8573
_cell_angle_alpha 90.00
_cell_angle_beta 90.00
_cell_angle_gamma 120.00
_space_group_name_H-M_alt 'P 3 1 2'
_space_group_IT_number 149
_space_group_name_Hall 'P 3 2'
loop_
_atom_site_label
_atom_site_type_symbol
_atom_site_fract_x
_atom_site_fract_y
_atom_site_fract_z
_atom_site_occupancy
K1 K 0.0000 0.0000 0.0000 1
Hf1 Hf 0.3333 0.6667 0.0000 1
Pa1 Pa 0.6667 0.3333 0.5000 1
O1 O 0.0079 0.4225 0.2426 1
```


Structure and simulated X-ray diffraction stick pattern of KPrHfSnO6 (a crystal structure in Alexandria, relaxed with GGA-PBE; Cu Kα X-rays).
Kinematic intensities with the Lorentz-polarization factor, no thermal factor.

Principal peaks in the range 2θ from 5° to 70°, by intensity:
| 2θ/deg | d/Å | I/Imax |
| --- | --- | --- |
| 30.8 | 2.903 | 100.0 |
| 54.8 | 1.676 | 40.6 |
| 44.1 | 2.053 | 30.8 |
| 64.2 | 1.452 | 19.1 |
| 18.7 | 4.741 | 14.6 |
| 21.6 | 4.106 | 13.2 |
| 36.3 | 2.476 | 8.6 |
| 49.7 | 1.836 | 5.9 |
| 48.3 | 1.884 | 3.9 |
| 58.4 | 1.580 | 3.0 |

Structural model:
```
data_KPrHfSnO6
_cell_length_a 8.2111
_cell_length_b 8.2111
_cell_length_c 8.2111
_cell_angle_alpha 90.00
_cell_angle_beta 90.00
_cell_angle_gamma 90.00
_space_group_name_H-M_alt 'F -4 3 m'
_space_group_IT_number 216
_space_group_name_Hall 'F -4 2 3'
loop_
_atom_site_label
_atom_site_type_symbol
_atom_site_fract_x
_atom_site_fract_y
_atom_site_fract_z
_atom_site_occupancy
K1 K 0.0000 0.0000 0.0000 1
Pr1 Pr 0.0000 0.0000 0.5000 1
Hf1 Hf 0.2500 0.2500 0.7500 1
Sn1 Sn 0.2500 0.2500 0.2500 1
O1 O 0.0001 0.2500 0.2500 1
```


Structure and simulated X-ray diffraction stick pattern of KRbHfO3 (a crystal structure in Alexandria, relaxed with GGA-PBE; Cu Kα X-rays).
Kinematic intensities with the Lorentz-polarization factor, no thermal factor.

Principal peaks in the range 2θ from 5° to 70°, by intensity:
| 2θ/deg | d/Å | I/Imax |
| --- | --- | --- |
| 15.4 | 5.738 | 100.0 |
| 30.3 | 2.952 | 72.2 |
| 28.9 | 3.092 | 68.7 |
| 27.7 | 3.219 | 52.1 |
| 30.7 | 2.917 | 38.4 |
| 39.7 | 2.272 | 27.7 |
| 14.0 | 6.330 | 26.2 |
| 43.8 | 2.065 | 20.4 |
| 55.1 | 1.666 | 20.4 |
| 48.8 | 1.865 | 18.4 |

Structural model:
```
data_KRbHfO3
_cell_length_a 6.4674
_cell_length_b 12.6602
_cell_length_c 5.8606
_cell_angle_alpha 90.00
_cell_angle_beta 95.50
_cell_angle_gamma 90.00
_space_group_name_H-M_alt 'C 1 2/c 1'
_space_group_IT_number 15
_space_group_name_Hall '-C 2yc'
loop_
_atom_site_label
_atom_site_type_symbol
_atom_site_fract_x
_atom_site_fract_y
_atom_site_fract_z
_atom_site_occupancy
K1 K 0.0000 0.0848 0.2500 1
Rb1 Rb 0.0000 0.2484 0.7500 1
Hf1 Hf 0.0000 0.4482 0.2500 1
O1 O 0.0000 0.2953 0.2500 1
O2 O 0.2011 0.4815 0.9973 1
```


Structure and simulated X-ray diffraction stick pattern of KHfReO6 (a crystal structure in Alexandria, relaxed with GGA-PBE; Cu Kα X-rays).
Kinematic intensities with the Lorentz-polarization factor, no thermal factor.

Principal peaks in the range 2θ from 5° to 70°, by intensity:
| 2θ/deg | d/Å | I/Imax |
| --- | --- | --- |
| 14.9 | 5.936 | 100.0 |
| 24.3 | 3.670 | 80.1 |
| 45.5 | 1.996 | 52.3 |
| 36.6 | 2.454 | 50.0 |
| 33.2 | 2.696 | 42.9 |
| 19.0 | 4.669 | 33.7 |
| 57.8 | 1.595 | 17.8 |
| 54.2 | 1.692 | 16.7 |
| 30.1 | 2.968 | 15.7 |
| 41.6 | 2.173 | 15.0 |

Structural model:
```
data_KHfReO6
_cell_length_a 5.3914
_cell_length_b 5.3914
_cell_length_c 5.9364
_cell_angle_alpha 90.00
_cell_angle_beta 90.00
_cell_angle_gamma 120.00
_space_group_name_H-M_alt 'P 3'
_space_group_IT_number 143
_space_group_name_Hall 'P 3'
loop_
_atom_site_label
_atom_site_type_symbol
_atom_site_fract_x
_atom_site_fract_y
_atom_site_fract_z
_atom_site_occupancy
K1 K 0.0000 0.0000 0.0000 1
Hf1 Hf 0.3333 0.6667 0.4947 1
Re1 Re 0.6667 0.3333 0.5022 1
O1 O 0.4052 0.0236 0.6850 1
O2 O 0.4055 0.3803 0.3137 1
```


Structure and simulated X-ray diffraction stick pattern of KSmHf4O12 (a crystal structure in Alexandria, relaxed with GGA-PBE; Cu Kα X-rays).
Kinematic intensities with the Lorentz-polarization factor, no thermal factor.

Principal peaks in the range 2θ from 5° to 70°, by intensity:
| 2θ/deg | d/Å | I/Imax |
| --- | --- | --- |
| 30.9 | 2.890 | 100.0 |
| 21.7 | 4.093 | 38.8 |
| 55.0 | 1.670 | 29.1 |
| 44.3 | 2.047 | 20.2 |
| 21.8 | 4.075 | 18.9 |
| 55.1 | 1.666 | 14.6 |
| 18.8 | 4.720 | 13.2 |
| 49.8 | 1.830 | 12.6 |
| 64.5 | 1.444 | 11.7 |
| 44.5 | 2.038 | 9.8 |

Structural model:
```
data_KSmHf4O12
_cell_length_a 8.1804
_cell_length_b 8.1507
_cell_length_c 8.1924
_cell_angle_alpha 90.00
_cell_angle_beta 90.00
_cell_angle_gamma 90.00
_space_group_name_H-M_alt 'A m m 2'
_space_group_IT_number 38
_space_group_name_Hall 'A 2 -2'
loop_
_atom_site_label
_atom_site_type_symbol
_atom_site_fract_x
_atom_site_fract_y
_atom_site_fract_z
_atom_site_occupancy
K1 K 0.0000 0.0000 0.0000 1
Sm1 Sm 0.5000 0.0000 0.4908 1
Hf1 Hf 0.2468 0.2466 0.7444 1
O1 O 0.0000 0.2291 0.7492 1
O2 O 0.2327 0.0000 0.2325 1
O3 O 0.2845 0.2316 0.4940 1
O4 O 0.3091 0.0000 0.7291 1
O5 O 0.5000 0.1896 0.2653 1
```